(1)
Diffraction record for Li7Mn2Co3O12. The XRD peak list is computed, not measured: it uses a cell relaxed with GGA+U and λ = 1.5418 Å (Cu Kα).
Lines closer than 0.1° are merged.

Atomic structure:
a = 5.147 Å, b = 5.875 Å, c = 7.683 Å
α = 77.59°, β = 76.16°, γ = 71.32°
Fractional coordinates of all 24 atoms:
Li: 0.000 0.000 0.000
Li: 0.001 0.675 0.341
Li: 0.004 0.331 0.658
Li: 0.004 0.494 0.995
Li: 0.007 0.165 0.339
Li: 0.008 0.844 0.664
Li: 0.505 0.002 0.499
Mn: 0.504 0.501 0.500
Mn: 0.508 0.840 0.168
Co: 0.495 0.156 0.824
Co: 0.503 0.333 0.168
Co: 0.504 0.665 0.831
O: 0.260 0.493 0.732
O: 0.263 0.147 0.086
O: 0.275 0.820 0.407
O: 0.278 0.987 0.761
O: 0.293 0.350 0.407
O: 0.301 0.662 0.082
O: 0.708 0.338 0.920
O: 0.713 0.653 0.592
O: 0.720 0.011 0.238
O: 0.740 0.189 0.581
O: 0.741 0.525 0.260
O: 0.742 0.835 0.930

Principal peaks in the range 10° ≤ 2θ ≤ 90°, most intense first:
| Position (°2θ) | I (rel.) |
| --- | --- |
| 18.52 | 100.0 |
| 42.65 | 28.9 |
| 44.40 | 26.0 |
| 44.52 | 25.9 |
| 36.54 | 24.2 |
| 63.35 | 14.6 |
| 35.42 | 13.8 |
| 12.00 | 8.3 |



(2)
Diffraction record for Li5MnCo2O8. The XRD peak list is computed, not measured: it uses a cell relaxed with GGA+U and λ = 1.5418 Å (Cu Kα).
Lines closer than 0.1° are merged.

Atomic structure:
a = 4.913 Å, b = 5.723 Å, c = 5.035 Å
α = 90.00°, β = 109.30°, γ = 90.00°
Fractional coordinates of all 16 atoms:
Li: 0.000 0.000 0.000
Li: 0.000 0.236 0.500
Li: 0.000 0.764 0.500
Li: 0.500 0.000 0.500
Li: 0.500 0.500 0.500
Mn: 0.000 0.500 0.000
Co: 0.500 0.245 0.000
Co: 0.500 0.755 0.000
O: 0.250 0.262 0.224
O: 0.250 0.738 0.224
O: 0.259 0.500 0.781
O: 0.284 0.000 0.777
O: 0.716 0.000 0.223
O: 0.741 0.500 0.219
O: 0.750 0.262 0.776
O: 0.750 0.738 0.776

Principal peaks in the range 10° ≤ 2θ ≤ 90°, most intense first:
| Position (°2θ) | I (rel.) |
| --- | --- |
| 18.67 | 100.0 |
| 44.67 | 85.5 |
| 36.91 | 23.2 |
| 64.35 | 15.1 |
| 65.69 | 14.8 |
| 19.14 | 13.6 |
| 37.10 | 12.0 |
| 15.48 | 11.4 |



(3)
Diffraction record for Li4MnCo2O7. The XRD peak list is computed, not measured: it uses a cell relaxed with GGA+U and λ = 1.5418 Å (Cu Kα).
Lines closer than 0.1° are merged.

Atomic structure:
a = 5.911 Å, b = 6.509 Å, c = 7.718 Å
α = 103.73°, β = 111.62°, γ = 103.98°
Fractional coordinates of all 28 atoms:
Li: 0.000 0.000 0.000
Li: 0.074 0.588 0.858
Li: 0.218 0.714 0.573
Li: 0.347 0.860 0.278
Li: 0.497 0.009 0.003
Li: 0.660 0.145 0.728
Li: 0.782 0.289 0.431
Li: 0.922 0.424 0.135
Mn: 0.280 0.285 0.424
Mn: 0.854 0.860 0.283
Co: 0.144 0.134 0.724
Co: 0.402 0.419 0.132
Co: 0.579 0.581 0.861
Co: 0.711 0.716 0.570
O: 0.057 0.304 0.931
O: 0.113 0.870 0.780
O: 0.189 0.408 0.636
O: 0.224 0.005 0.484
O: 0.310 0.548 0.355
O: 0.388 0.166 0.229
O: 0.494 0.729 0.084
O: 0.532 0.301 0.928
O: 0.612 0.834 0.770
O: 0.651 0.434 0.627
O: 0.759 0.983 0.498
O: 0.795 0.593 0.357
O: 0.911 0.140 0.233
O: 0.944 0.722 0.085

Principal peaks in the range 10° ≤ 2θ ≤ 90°, most intense first:
| Position (°2θ) | I (rel.) |
| --- | --- |
| 18.36 | 100.0 |
| 43.19 | 28.8 |
| 43.51 | 28.1 |
| 44.26 | 26.4 |
| 35.73 | 14.3 |
| 35.94 | 13.2 |
| 36.50 | 12.5 |
| 47.69 | 8.7 |



(4)
Diffraction record for Li7Mn2Co3O12. The XRD peak list is computed, not measured: it uses a cell relaxed with GGA+U and λ = 1.5418 Å (Cu Kα).
Lines closer than 0.1° are merged.

Atomic structure:
a = 6.496 Å, b = 6.496 Å, c = 11.911 Å
α = 103.86°, β = 103.86°, γ = 25.90°
Fractional coordinates of all 24 atoms:
Li: 0.000 0.000 0.000
Li: 0.001 0.001 0.752
Li: 0.336 0.336 0.583
Li: 0.340 0.340 0.068
Li: 0.663 0.663 0.919
Li: 0.667 0.667 0.407
Li: 0.993 0.993 0.234
Mn: 0.663 0.663 0.161
Mn: 0.669 0.669 0.661
Co: 0.332 0.332 0.328
Co: 0.351 0.351 0.841
Co: 0.996 0.996 0.490
O: 0.165 0.165 0.546
O: 0.168 0.168 0.766
O: 0.171 0.171 0.057
O: 0.175 0.175 0.279
O: 0.492 0.492 0.376
O: 0.497 0.497 0.865
O: 0.508 0.508 0.610
O: 0.514 0.514 0.128
O: 0.822 0.822 0.703
O: 0.827 0.827 0.219
O: 0.827 0.827 0.945
O: 0.833 0.833 0.439

Principal peaks in the range 10° ≤ 2θ ≤ 90°, most intense first:
| Position (°2θ) | I (rel.) |
| --- | --- |
| 18.33 | 100.0 |
| 43.47 | 56.1 |
| 44.28 | 25.3 |
| 36.10 | 24.3 |
| 64.03 | 21.1 |
| 63.52 | 14.2 |
| 36.38 | 12.4 |
| 57.17 | 12.0 |



(5)
Diffraction record for Li4MnCo2O7. The XRD peak list is computed, not measured: it uses a cell relaxed with GGA+U and λ = 1.5418 Å (Cu Kα).
Lines closer than 0.1° are merged.

Atomic structure:
a = 5.172 Å, b = 5.887 Å, c = 8.593 Å
α = 91.83°, β = 94.43°, γ = 109.12°
Fractional coordinates of all 28 atoms:
Li: 0.000 0.000 0.000
Li: 0.000 0.500 0.000
Li: 0.142 0.285 0.284
Li: 0.287 0.571 0.572
Li: 0.420 0.851 0.861
Li: 0.580 0.149 0.139
Li: 0.713 0.429 0.428
Li: 0.858 0.715 0.716
Mn: 0.428 0.355 0.856
Mn: 0.572 0.645 0.144
Co: 0.143 0.786 0.286
Co: 0.285 0.070 0.572
Co: 0.715 0.930 0.428
Co: 0.857 0.214 0.714
O: 0.020 0.768 0.494
O: 0.150 0.501 0.787
O: 0.161 0.044 0.781
O: 0.302 0.805 0.091
O: 0.315 0.333 0.067
O: 0.407 0.090 0.366
O: 0.449 0.622 0.352
O: 0.551 0.378 0.648
O: 0.593 0.910 0.634
O: 0.685 0.667 0.933
O: 0.698 0.195 0.909
O: 0.839 0.956 0.219
O: 0.850 0.499 0.213
O: 0.980 0.232 0.506

Principal peaks in the range 10° ≤ 2θ ≤ 90°, most intense first:
| Position (°2θ) | I (rel.) |
| --- | --- |
| 18.52 | 100.0 |
| 42.21 | 31.6 |
| 44.69 | 26.5 |
| 44.80 | 25.9 |
| 36.81 | 23.5 |
| 63.16 | 23.0 |
| 35.03 | 17.1 |
| 10.34 | 11.8 |



(6)
Diffraction record for Li4MnCo3O8. The XRD peak list is computed, not measured: it uses a cell relaxed with GGA+U and λ = 1.5418 Å (Cu Kα).
Lines closer than 0.1° are merged.

Atomic structure:
a = 5.258 Å, b = 2.858 Å, c = 9.796 Å
α = 90.00°, β = 96.67°, γ = 90.00°
Fractional coordinates of all 16 atoms:
Li: 0.000 0.000 0.000
Li: 0.246 0.500 0.248
Li: 0.500 0.000 0.500
Li: 0.754 0.500 0.752
Mn: 0.000 0.500 0.500
Co: 0.267 0.000 0.752
Co: 0.500 0.500 0.000
Co: 0.733 0.000 0.248
O: 0.113 0.000 0.384
O: 0.157 0.500 0.865
O: 0.372 0.000 0.114
O: 0.374 0.500 0.640
O: 0.626 0.500 0.360
O: 0.628 0.000 0.886
O: 0.843 0.500 0.135
O: 0.887 0.000 0.616

Principal peaks in the range 10° ≤ 2θ ≤ 90°, most intense first:
| Position (°2θ) | I (rel.) |
| --- | --- |
| 18.32 | 100.0 |
| 44.42 | 47.8 |
| 41.09 | 30.7 |
| 36.46 | 24.4 |
| 34.20 | 20.3 |
| 61.98 | 14.9 |
| 62.22 | 14.3 |
| 47.14 | 11.6 |



(7)
Diffraction record for Li7Mn2Co3O12. The XRD peak list is computed, not measured: it uses a cell relaxed with GGA+U and λ = 1.5418 Å (Cu Kα).
Lines closer than 0.1° are merged.

Atomic structure:
a = 3.022 Å, b = 7.798 Å, c = 10.104 Å
α = 111.45°, β = 91.42°, γ = 97.61°
Fractional coordinates of all 24 atoms:
Li: 0.000 0.000 0.000
Li: 0.156 0.335 0.922
Li: 0.157 0.330 0.412
Li: 0.492 0.997 0.754
Li: 0.508 0.003 0.246
Li: 0.843 0.670 0.588
Li: 0.844 0.665 0.078
Mn: 0.340 0.664 0.330
Mn: 0.660 0.336 0.670
Co: 0.000 0.000 0.500
Co: 0.357 0.683 0.841
Co: 0.643 0.317 0.159
O: 0.037 0.163 0.701
O: 0.046 0.178 0.204
O: 0.268 0.494 0.134
O: 0.285 0.510 0.643
O: 0.412 0.814 0.022
O: 0.435 0.833 0.530
O: 0.565 0.167 0.470
O: 0.588 0.186 0.978
O: 0.715 0.490 0.357
O: 0.732 0.506 0.866
O: 0.954 0.822 0.796
O: 0.963 0.837 0.299

Principal peaks in the range 10° ≤ 2θ ≤ 90°, most intense first:
| Position (°2θ) | I (rel.) |
| --- | --- |
| 18.35 | 100.0 |
| 41.19 | 35.5 |
| 43.88 | 28.7 |
| 44.94 | 25.6 |
| 34.24 | 20.9 |
| 36.10 | 12.6 |
| 12.38 | 11.5 |
| 36.79 | 9.9 |



(8)
Diffraction record for Li4MnCo2O7. The XRD peak list is computed, not measured: it uses a cell relaxed with GGA+U and λ = 1.5418 Å (Cu Kα).
Lines closer than 0.1° are merged.

Atomic structure:
a = 4.963 Å, b = 6.554 Å, c = 7.752 Å
α = 85.98°, β = 77.54°, γ = 82.97°
Fractional coordinates of all 28 atoms:
Li: 0.000 0.000 0.000
Li: 0.072 0.858 0.347
Li: 0.216 0.581 0.071
Li: 0.354 0.282 0.789
Li: 0.500 0.000 0.500
Li: 0.646 0.718 0.211
Li: 0.784 0.419 0.929
Li: 0.928 0.142 0.653
Mn: 0.143 0.713 0.713
Mn: 0.857 0.287 0.287
Co: 0.285 0.430 0.429
Co: 0.431 0.137 0.136
Co: 0.569 0.863 0.864
Co: 0.715 0.570 0.571
O: 0.037 0.446 0.661
O: 0.103 0.287 0.061
O: 0.166 0.169 0.390
O: 0.260 0.972 0.745
O: 0.341 0.860 0.106
O: 0.395 0.691 0.478
O: 0.460 0.579 0.800
O: 0.540 0.421 0.200
O: 0.605 0.309 0.522
O: 0.659 0.140 0.894
O: 0.740 0.028 0.255
O: 0.834 0.831 0.610
O: 0.897 0.713 0.939
O: 0.963 0.554 0.339

Principal peaks in the range 10° ≤ 2θ ≤ 90°, most intense first:
| Position (°2θ) | I (rel.) |
| --- | --- |
| 18.40 | 100.0 |
| 43.92 | 52.0 |
| 44.17 | 25.5 |
| 36.30 | 25.0 |
| 63.29 | 13.9 |
| 63.86 | 13.8 |
| 64.80 | 13.6 |
| 36.72 | 11.5 |



(9)
Diffraction record for Li7Mn4CoO12. The XRD peak list is computed, not measured: it uses a cell relaxed with GGA+U and λ = 1.5418 Å (Cu Kα).
Lines closer than 0.1° are merged.

Atomic structure:
a = 14.802 Å, b = 14.802 Å, c = 5.207 Å
α = 98.38°, β = 98.38°, γ = 11.11°
Fractional coordinates of all 24 atoms:
Li: 0.000 0.000 0.000
Li: 0.171 0.171 0.556
Li: 0.249 0.249 0.261
Li: 0.329 0.329 0.981
Li: 0.501 0.501 0.527
Li: 0.674 0.674 0.054
Li: 0.825 0.825 0.458
Mn: 0.416 0.416 0.747
Mn: 0.585 0.585 0.278
Mn: 0.750 0.750 0.761
Mn: 0.917 0.917 0.248
Co: 0.084 0.084 0.777
O: 0.049 0.049 0.419
O: 0.119 0.119 0.131
O: 0.213 0.213 0.886
O: 0.286 0.286 0.637
O: 0.379 0.379 0.353
O: 0.457 0.457 0.152
O: 0.546 0.546 0.892
O: 0.620 0.620 0.665
O: 0.709 0.709 0.429
O: 0.789 0.789 0.093
O: 0.879 0.879 0.856
O: 0.956 0.956 0.649

Principal peaks in the range 10° ≤ 2θ ≤ 90°, most intense first:
| Position (°2θ) | I (rel.) |
| --- | --- |
| 18.26 | 100.0 |
| 44.10 | 54.9 |
| 42.05 | 31.0 |
| 62.57 | 29.7 |
| 36.40 | 23.5 |
| 34.84 | 15.7 |
| 57.96 | 9.3 |
| 63.18 | 9.0 |



(10)
Diffraction record for Li7Mn2Co3O12. The XRD peak list is computed, not measured: it uses a cell relaxed with GGA+U and λ = 1.5418 Å (Cu Kα).
Lines closer than 0.1° are merged.

Atomic structure:
a = 2.861 Å, b = 5.049 Å, c = 14.940 Å
α = 96.42°, β = 95.24°, γ = 106.32°
Fractional coordinates of all 24 atoms:
Li: 0.000 0.000 0.000
Li: 0.001 0.759 0.253
Li: 0.326 0.583 0.076
Li: 0.339 0.076 0.588
Li: 0.664 0.398 0.924
Li: 0.674 0.910 0.424
Li: 0.996 0.233 0.753
Mn: 0.336 0.332 0.340
Mn: 0.666 0.173 0.164
Co: 0.010 0.495 0.507
Co: 0.328 0.814 0.838
Co: 0.670 0.656 0.671
O: 0.020 0.913 0.133
O: 0.021 0.398 0.628
O: 0.317 0.435 0.214
O: 0.317 0.913 0.713
O: 0.323 0.698 0.947
O: 0.363 0.234 0.465
O: 0.659 0.752 0.549
O: 0.671 0.066 0.295
O: 0.672 0.294 0.054
O: 0.680 0.561 0.792
O: 0.970 0.069 0.869
O: 0.999 0.600 0.384

Principal peaks in the range 10° ≤ 2θ ≤ 90°, most intense first:
| Position (°2θ) | I (rel.) |
| --- | --- |
| 18.62 | 100.0 |
| 44.24 | 27.2 |
| 44.44 | 26.8 |
| 44.48 | 26.2 |
| 36.63 | 24.6 |
| 64.38 | 13.6 |
| 36.81 | 12.4 |
| 65.21 | 7.5 |